# 1
Simulated X-ray diffraction stick pattern of PmB2C for Cu Kα, from the PBE geometry in Alexandria.

Main lines, in order of falling intensity (15° ≤ 2θ ≤ 90°):
2θ = 37.1°, d 2.422, rel. 100; 2θ = 34.7°, d 2.588, rel. 71; 2θ = 29.1°, d 3.067, rel. 69; 2θ = 26.0°, d 3.429, rel. 58; 2θ = 22.5°, d 3.944, rel. 54; 2θ = 60.4°, d 1.533, rel. 36; 2θ = 55.2°, d 1.663, rel. 30; 2θ = 74.6°, d 1.271, rel. 25; 2θ = 55.4°, d 1.659, rel. 22; 2θ = 43.8°, d 2.066, rel. 21

Structure:
Cell lengths 6.8588, 6.8588, 7.8875 Å; angles 90.00, 90.00, 90.00 degrees
Fractional coordinates of all 32 atoms:
Pm  0.1906  0.3094  0.2500
Pm  0.1906  0.3094  0.7500
Pm  0.3094  0.8094  0.2500
Pm  0.3094  0.8094  0.7500
Pm  0.6906  0.1906  0.2500
Pm  0.6906  0.1906  0.7500
Pm  0.8094  0.6906  0.2500
Pm  0.8094  0.6906  0.7500
B  0.0346  0.8500  0.0000
B  0.0964  0.5967  0.0000
B  0.0967  0.5964  0.5000
B  0.1500  0.0346  0.5000
B  0.3500  0.5346  0.5000
B  0.4033  0.0964  0.5000
B  0.4036  0.0967  0.0000
B  0.4654  0.3500  0.0000
B  0.5346  0.6500  0.0000
B  0.5964  0.9033  0.0000
B  0.5967  0.9036  0.5000
B  0.6500  0.4654  0.5000
B  0.8500  0.9654  0.5000
B  0.9033  0.4036  0.5000
B  0.9036  0.4033  0.0000
B  0.9654  0.1500  0.0000
C  0.0411  0.8226  0.5000
C  0.1774  0.0411  0.0000
C  0.3226  0.5411  0.0000
C  0.4589  0.3226  0.5000
C  0.5411  0.6774  0.5000
C  0.6774  0.4589  0.0000
C  0.8226  0.9589  0.0000
C  0.9589  0.1774  0.5000



# 2
Simulated X-ray diffraction stick pattern of ScCdIr for Cu Kα, from the PBE geometry in Alexandria.

Main lines, in order of falling intensity (15° ≤ 2θ ≤ 90°):
2θ = 37.3°, d 2.414, rel. 100; 2θ = 37.7°, d 2.387, rel. 93; 2θ = 40.5°, d 2.227, rel. 76; 2θ = 65.5°, d 1.424, rel. 36; 2θ = 25.9°, d 3.445, rel. 34; 2θ = 19.0°, d 4.680, rel. 34; 2θ = 71.3°, d 1.324, rel. 28; 2θ = 29.7°, d 3.012, rel. 24; 2θ = 72.1°, d 1.310, rel. 24; 2θ = 49.2°, d 1.853, rel. 22

Structure:
Cell lengths 5.2788, 5.2788, 5.2788 Å; angles 144.93, 138.90, 55.11 degrees
Fractional coordinates of all 3 atoms:
Sc  0.0000  0.0000  0.0000
Cd  0.6908  0.6908  0.0000
Ir  0.3669  0.3669  0.0000